The following is a simulated powder XRD pattern of VSnO4. It was derived from a crystal structure in Alexandria, relaxed with PBE+U, using copper Kα.

Structural model:
Cell: 4.6670 4.6670 3.1509 Å, 90.00 90.00 90.30°
Fractional coordinates of all 6 atoms:
V (0.0000, 0.0000, 0.0000)
Sn (0.5000, 0.5000, 0.5000)
O (0.1858, 0.8142, 0.5000)
O (0.2931, 0.2931, 0.0000)
O (0.7069, 0.7069, 0.0000)
O (0.8142, 0.1858, 0.5000)

Most intense lines, 10° ≤ 2θ ≤ 90°, low angle first:
2theta	Rel. int.
19.0	387
26.9	703
27.1	650
34.3	1000
38.6	240
39.6	263
43.3	144
52.5	479
52.7	429
55.9	123
65.7	212
67.1	287